Theoretical powder XRD pattern
Compound: NdCl3O3
Radiation: CuKα
Structure: DFT lattice parameters and positions (GGA-PBE)
Neutral-atom scattering factors, no anomalous dispersion.

The 6 most intense peaks (2θ = 10–80°), in order of rising 2θ:
2θ/deg, I/Imax, h k l
10.16, 100.0, 2 0 0
19.89, 64.5, 0 2 0
22.33, 15.2, 2 2 0
28.23, 41.7, 4 0 1
28.62, 14.9, 4 2 0
36.93, 17.2, 6 2 0

Structural model:
```
28
Lattice="17.405 0.000 0.000 0.000 8.947 0.000 0.000 0.000 4.610" Properties=species:S:1:pos:R:3 pbc="T T T"
Nd 0.475 2.237 0.239
Nd 8.228 6.711 2.544
Nd 9.177 2.237 2.067
Nd 16.930 6.711 4.372
Cl 1.403 4.834 0.978
Cl 1.403 8.587 0.978
Cl 2.930 2.237 3.886
Cl 5.773 6.711 1.581
Cl 7.300 0.361 3.283
Cl 7.300 4.113 3.283
Cl 10.105 4.834 1.328
Cl 10.105 8.587 1.328
Cl 11.632 2.237 3.030
Cl 14.475 6.711 0.725
Cl 16.002 0.361 3.633
Cl 16.002 4.113 3.633
O 0.020 2.237 2.563
O 3.145 6.102 3.425
O 3.145 7.319 3.425
O 5.557 1.629 1.120
O 5.557 2.845 1.120
O 8.683 6.711 0.258
O 8.722 2.237 4.353
O 11.848 6.102 3.490
O 11.848 7.319 3.490
O 14.260 1.629 1.185
O 14.260 2.845 1.185
O 17.385 6.711 2.048
```

Theoretical powder XRD pattern
Compound: Mg5Si9
Radiation: CuKα
Structure: DFT lattice parameters and positions (GGA-PBE)
Neutral-atom scattering factors, no anomalous dispersion.

The 6 most intense peaks (2θ = 10–80°), in order of rising 2θ:
2θ/deg, I/Imax, h k l
37.24, 73.0, 1 -2 1
38.13, 74.4, 1 2 -3
38.58, 86.9, 2 1 4
38.75, 87.7, 1 3 3
39.20, 100.0, 2 0 -2
42.27, 50.9, 0 1 6

Structural model:
```
28
Lattice="5.595 0.000 0.000 2.602 6.872 0.000 2.694 2.280 12.763" Properties=species:S:1:pos:R:3 pbc="T T T"
Mg 0.000 0.000 0.000
Mg 3.682 7.360 5.828
Mg 3.706 6.103 2.854
Mg 2.648 2.609 3.831
Mg 5.509 8.007 8.189
Mg 4.896 5.131 9.264
Mg 6.547 6.815 11.024
Mg 5.508 5.836 0.235
Mg 7.567 3.628 9.889
Mg 9.095 5.258 12.019
Si 3.277 4.517 7.167
Si 2.557 4.052 1.195
Si 1.845 1.561 1.442
Si 4.579 2.888 10.833
Si 4.767 4.240 4.700
Si 4.418 2.277 6.175
Si 5.700 5.422 6.650
Si 6.292 4.230 12.296
Si 6.465 7.124 4.917
Si 4.861 3.399 1.480
Si 6.482 7.279 2.386
Si 5.533 1.796 8.830
Si 7.748 6.208 8.576
Si 6.414 4.777 2.900
Si 5.569 1.989 3.327
Si 6.686 3.054 6.998
Si 9.503 7.445 10.442
Si 7.883 5.068 5.032
```

Theoretical powder XRD pattern
Compound: Gd2NiB10
Radiation: CuKα
Structure: DFT lattice parameters and positions (GGA-PBE)
Neutral-atom scattering factors, no anomalous dispersion.

The 6 most intense peaks (2θ = 10–80°), in order of rising 2θ:
2θ/deg, I/Imax, h k l
21.40, 28.9, 0 0 1
22.62, 69.4, 1 2 0
31.34, 100.0, 1 2 1
38.95, 31.5, 2 0 1
39.05, 46.9, 0 4 1
49.67, 27.8, 1 2 2

Structural model:
```
26
Lattice="5.569 0.000 0.000 0.000 11.098 0.000 0.000 0.000 4.151" Properties=species:S:1:pos:R:3 pbc="T T T"
Gd 1.069 1.518 0.000
Gd 1.715 7.067 0.000
Gd 3.853 4.031 0.000
Gd 4.500 9.580 0.000
Ni 0.000 5.549 2.076
Ni 2.784 0.000 2.076
B 0.199 3.466 2.076
B 0.699 10.643 2.076
B 0.861 8.907 2.076
B 1.134 4.283 0.829
B 1.134 4.283 3.322
B 1.651 9.832 0.829
B 1.651 9.832 3.322
B 1.923 3.358 2.076
B 2.085 5.094 2.076
B 2.585 9.015 2.076
B 2.983 2.083 2.076
B 3.484 6.004 2.076
B 3.646 7.740 2.076
B 3.918 1.266 0.829
B 3.918 1.266 3.322
B 4.435 6.815 0.829
B 4.435 6.815 3.322
B 4.708 2.191 2.076
B 4.870 0.455 2.076
B 5.370 7.632 2.076
```

Theoretical powder XRD pattern
Compound: BeFe2Si
Radiation: CuKα
Structure: DFT lattice parameters and positions (GGA-PBE)
Neutral-atom scattering factors, no anomalous dispersion.

The 6 most intense peaks (2θ = 10–80°), in order of rising 2θ:
2θ/deg, I/Imax, h k l
28.62, 6.3, 1 1 1
33.17, 43.8, 2 0 0
47.61, 100.0, 2 2 0
59.26, 9.6, 2 2 2
69.62, 14.8, 4 0 0
79.32, 10.8, 4 2 0

Structural model:
```
16
Lattice="5.402 0.000 0.000 0.000 5.402 0.000 0.000 0.000 5.402" Properties=species:S:1:pos:R:3 pbc="T T T"
Be 0.000 0.000 0.000
Be 0.000 2.701 2.701
Be 2.701 0.000 2.701
Be 2.701 2.701 0.000
Fe 1.350 1.350 1.350
Fe 1.350 1.350 4.051
Fe 1.350 4.051 1.350
Fe 1.350 4.051 4.051
Fe 4.051 1.350 1.350
Fe 4.051 1.350 4.051
Fe 4.051 4.051 1.350
Fe 4.051 4.051 4.051
Si 0.000 0.000 2.701
Si 0.000 2.701 0.000
Si 2.701 0.000 0.000
Si 2.701 2.701 2.701
```

Theoretical powder XRD pattern
Compound: Ti2RePt
Radiation: CuKα
Structure: DFT lattice parameters and positions (GGA-PBE)
Neutral-atom scattering factors, no anomalous dispersion.

The 6 most intense peaks (2θ = 10–80°), in order of rising 2θ:
2θ/deg, I/Imax, h k l
28.02, 47.9, 1 0 0
29.14, 21.8, 0 0 2
40.05, 53.1, 1 1 0
40.87, 100.0, 1 0 2
50.29, 20.8, 1 1 2
73.31, 35.2, 2 1 2

Structural model:
```
4
Lattice="3.184 0.000 0.000 0.000 3.184 0.000 0.000 0.000 6.129" Properties=species:S:1:pos:R:3 pbc="T T T"
Ti 0.000 0.000 1.476
Ti 0.000 0.000 4.653
Re 1.592 1.592 0.000
Pt 1.592 1.592 3.065
```

Theoretical powder XRD pattern
Compound: LiTePO5
Radiation: CuKα
Structure: DFT lattice parameters and positions (GGA-PBE)
Neutral-atom scattering factors, no anomalous dispersion.

The 6 most intense peaks (2θ = 10–80°), in order of rising 2θ:
2θ/deg, I/Imax, h k l
17.73, 54.7, 0 1 1
23.63, 100.0, 2 0 1
24.16, 41.5, 0 0 2
26.17, 51.2, 0 2 0
35.53, 32.2, 2 2 1
55.82, 24.2, 2 1 4

Structural model:
```
32
Lattice="8.762 0.000 0.000 0.000 6.816 0.000 0.000 0.000 7.366" Properties=species:S:1:pos:R:3 pbc="T T T"
Li 0.000 0.000 0.000
Li 0.000 3.408 0.000
Li 4.381 0.000 3.683
Li 4.381 3.408 3.683
Te 1.202 1.704 2.051
Te 3.179 5.112 5.734
Te 5.583 1.704 1.632
Te 7.560 5.112 5.315
P 1.113 5.112 2.676
P 3.268 1.704 6.359
P 5.493 5.112 1.007
P 7.649 1.704 4.690
O 0.227 1.704 3.881
O 0.364 5.112 6.310
O 1.087 3.873 1.723
O 1.087 6.350 1.723
O 2.012 1.704 7.246
O 2.369 5.112 3.563
O 3.294 0.466 5.406
O 3.294 2.942 5.406
O 4.017 1.704 2.627
O 4.154 5.112 0.198
O 4.608 1.704 7.167
O 4.745 5.112 4.739
O 5.468 3.873 1.960
O 5.468 6.350 1.960
O 6.393 1.704 3.803
O 6.749 5.112 0.120
O 7.675 0.466 5.643
O 7.675 2.942 5.643
O 8.398 1.704 1.056
O 8.535 5.112 3.485
```

Theoretical powder XRD pattern
Compound: Nb3VS6
Radiation: CuKα
Structure: DFT lattice parameters and positions (GGA-PBE)
Neutral-atom scattering factors, no anomalous dispersion.

The 6 most intense peaks (2θ = 10–80°), in order of rising 2θ:
2θ/deg, I/Imax, h k l
14.48, 72.3, 0 0 2
30.76, 38.4, 1 1 0
34.15, 60.1, 1 1 2
42.93, 100.0, 1 1 4
54.70, 35.2, 3 0 0
71.94, 20.2, 2 2 4

Structural model:
```
20
Lattice="5.813 0.000 0.000 -2.907 5.034 0.000 0.000 0.000 12.230" Properties=species:S:1:pos:R:3 pbc="T T T"
Nb 0.000 0.000 0.000
Nb 0.000 0.000 6.115
Nb 0.000 3.356 0.029
Nb 0.000 3.356 6.086
Nb 2.907 1.678 6.144
Nb 2.907 1.678 12.201
V 0.000 3.356 9.173
V 2.907 1.678 3.058
S -0.953 1.686 10.653
S -1.923 3.366 7.692
S 0.953 1.686 7.692
S -0.970 5.017 10.653
S 1.936 0.017 1.577
S 0.983 1.668 4.538
S 1.923 3.366 10.653
S 0.970 5.017 7.692
S 3.877 0.017 4.538
S 1.953 3.349 1.577
S 4.830 1.668 1.577
S 3.860 3.349 4.538
```